Entry 1:
Diffraction record for ThTl2Te2I2. The X-ray powder pattern is calculated, not measured: it uses DFT lattice parameters and positions (PBE) and a wavelength of 1.5418 Å.
No peak broadening, texture or thermal motion is included.

Atomic structure:
Cell lengths 6.1527, 6.1527, 17.2502 Å; angles 90.00, 90.00, 90.00 degrees
Space group I4/mmm (No. 139)
One atom of each set of equivalent atoms:
Th 0.0000 0.0000 0.0000 x2
Tl 0.0000 0.0000 0.3863 x4
Te 0.0000 0.5000 0.0000 x4
I 0.0000 0.0000 0.1789 x4

Main lines, sorted by position (10° ≤ 2θ ≤ 90°):
d (Å)	2θ/deg	I_rel	hkl
8.625	10.3	580	0 0 2
4.351	20.4	727	1 1 0
3.076	29.0	1000	2 0 0
3.009	29.7	919	1 0 5
2.175	41.5	382	2 2 0
2.151	42.0	725	2 1 5

***

Entry 2:
Diffraction record for Ti3Te4I2. The X-ray powder pattern is calculated, not measured: it uses DFT lattice parameters and positions (PBE) and a wavelength of 1.5418 Å.
No peak broadening, texture or thermal motion is included.

Atomic structure:
Cell lengths 3.7497, 3.7497, 22.9095 Å; angles 90.00, 90.00, 120.00 degrees
Space group P3m1 (No. 156)
One atom of each set of equivalent atoms:
Ti 0.0000 0.0000 0.0000 x1
Ti 0.0000 0.0000 0.3530 x1
Ti 0.6667 0.3333 0.6733 x1
Te 0.0000 0.0000 0.5959 x1
Te 0.0000 0.0000 0.7516 x1
Te 0.6667 0.3333 0.2748 x1
Te 0.6667 0.3333 0.4305 x1
I 0.6667 0.3333 0.0791 x1
I 0.6667 0.3333 0.9210 x1

Main lines, sorted by position (10° ≤ 2θ ≤ 90°):
d (Å)	2θ/deg	I_rel	hkl
3.818	23.3	517	0 0 6
3.247	27.5	749	1 0 0
3.215	27.7	500	0 1 1
2.649	33.8	1000	0 1 5
2.148	42.1	548	0 1 8
1.875	48.6	529	1 1 0

***

Entry 3:
Diffraction record for Ti3TeI. The X-ray powder pattern is calculated, not measured: it uses DFT lattice parameters and positions (PBE) and a wavelength of 1.5418 Å.
No peak broadening, texture or thermal motion is included.

Atomic structure:
Cell lengths 5.1539, 5.1539, 5.1539 Å; angles 90.00, 90.00, 90.00 degrees
Space group Pm-3m (No. 221)
One atom of each set of equivalent atoms:
Ti 0.0000 0.0000 0.5000 x3
Te 0.0000 0.0000 0.0000 x1
I 0.5000 0.5000 0.5000 x1

Main lines, sorted by position (10° ≤ 2θ ≤ 90°):
d (Å)	2θ/deg	I_rel	hkl
3.644	24.4	1000	1 1 0
2.577	34.8	755	2 0 0
2.104	43.0	446	2 1 1
1.822	50.1	516	2 2 0
1.377	68.1	231	3 2 1
1.152	84.0	220	4 2 0